# 1
The following is a calculated X-ray powder pattern of BPbO3. It was derived from a crystal structure in the Materials Project, relaxed with GGA-PBE, using copper Kα.
Lines closer than 0.1° are merged.

Peak list (7 most intense, 2θ = 10–80°, low angle first)
- d = 3.566 Å, 2θ = 24.97°, I 99
- d = 2.522 Å, 2θ = 35.60°, I 100
- d = 2.059 Å, 2θ = 43.98°, I 58
- d = 1.783 Å, 2θ = 51.24°, I 30
- d = 1.595 Å, 2θ = 57.82°, I 45
- d = 1.456 Å, 2θ = 63.95°, I 39
- d = 1.261 Å, 2θ = 75.39°, I 19

Crystal structure
```
data_BPbO3
_space_group_name_H-M_alt 'P 1'
_space_group_IT_number 1
_cell_length_a 3.566
_cell_length_b 3.566
_cell_length_c 3.566
_cell_angle_alpha 90.00
_cell_angle_beta 90.00
_cell_angle_gamma 90.00
loop_
_space_group_symop_operation_xyz
'x,y,z'
loop_
_atom_site_label
_atom_site_fract_x
_atom_site_fract_y
_atom_site_fract_z
B1 0.000 0.000 0.000
Pb1 0.500 0.500 0.500
O1 0.000 0.000 0.500
O2 0.000 0.500 0.000
O3 0.500 0.000 0.000
```

***

# 2
The following is a calculated X-ray powder pattern of B2Pb2O5. It was derived from a crystal structure in the Materials Project, relaxed with GGA-PBE, using copper Kα.
Lines closer than 0.1° are merged.

Peak list (10 most intense, 2θ = 10–80°, low angle first)
- d = 5.660 Å, 2θ = 15.66°, I 50
- d = 5.521 Å, 2θ = 16.05°, I 27
- d = 3.583 Å, 2θ = 24.85°, I 54
- d = 3.456 Å, 2θ = 25.78°, I 68
- d = 3.349 Å, 2θ = 26.62°, I 92
- d = 3.090 Å, 2θ = 28.89°, I 56
- d = 2.978 Å, 2θ = 30.00°, I 57
- d = 2.875 Å, 2θ = 31.10°, I 37
- d = 2.856 Å, 2θ = 31.32°, I 64
- d = 2.769 Å, 2θ = 32.33°, I 100

Crystal structure
```
data_B2Pb2O5
_space_group_name_H-M_alt 'P 1'
_space_group_IT_number 1
_cell_length_a 7.100
_cell_length_b 7.326
_cell_length_c 7.933
_cell_angle_alpha 76.20
_cell_angle_beta 76.64
_cell_angle_gamma 73.78
loop_
_space_group_symop_operation_xyz
'x,y,z'
loop_
_atom_site_label
_atom_site_fract_x
_atom_site_fract_y
_atom_site_fract_z
B1 0.000 0.000 0.000
B2 0.007 0.994 0.324
B3 0.521 0.477 0.638
B4 0.668 0.148 0.540
B5 0.681 0.184 0.847
B6 0.965 0.697 0.238
Pb1 0.044 0.791 0.697
Pb2 0.143 0.306 0.505
Pb3 0.228 0.326 0.014
Pb4 0.476 0.839 0.841
Pb5 0.494 0.924 0.327
Pb6 0.672 0.395 0.169
O1 0.090 0.046 0.135
O2 0.140 0.007 0.437
O3 0.147 0.983 0.836
O4 0.380 0.273 0.248
O5 0.408 0.662 0.609
O6 0.510 0.099 0.938
O7 0.526 0.026 0.570
O8 0.557 0.359 0.514
O9 0.598 0.401 0.794
O10 0.783 0.105 0.683
O11 0.804 0.126 0.365
O12 0.822 0.160 0.967
O13 0.946 0.807 0.070
O14 0.961 0.506 0.278
O15 0.988 0.789 0.365
```